[1]
# Ba4NaPd
Simulated powder X-ray diffraction pattern, Cu Kα, 1.54184 Å. Input: DFT lattice parameters and positions (PBE).

Cell and atoms:
a = 11.8223 Å, b = 11.8223 Å, c = 8.6535 Å
α = 90.00°, β = 90.00°, γ = 147.79°
Element x y z (fractional)
Ba 0.0212 0.9788 0.5000
Ba 0.1718 0.8282 0.1033
Ba 0.2097 0.7903 0.6034
Ba 0.4015 0.5985 0.3178
Ba 0.5985 0.4015 0.8178
Ba 0.7903 0.2097 0.1034
Ba 0.8282 0.1718 0.6033
Ba 0.9788 0.0212 0.0000
Na 0.3785 0.6215 0.8354
Na 0.6215 0.3785 0.3354
Pd 0.0968 0.9032 0.8058
Pd 0.9032 0.0968 0.3058

Most intense lines, 2θ from 5° to 70°, in order of falling intensity:
27.2°, rel. 100
25.9°, rel. 98
12.9°, rel. 83
23.8°, rel. 80
14.1°, rel. 79
27.4°, rel. 54
25.0°, rel. 51
31.4°, rel. 46
22.0°, rel. 45
37.9°, rel. 44
33.2°, rel. 44
42.0°, rel. 41

---

[2]
# Mg6CdPb2
Simulated powder X-ray diffraction pattern, Cu Kα, 1.54184 Å. Input: DFT lattice parameters and positions (PBE).

Cell and atoms:
a = 5.0882 Å, b = 5.0882 Å, c = 9.6975 Å
α = 90.00°, β = 90.00°, γ = 120.00°
Element x y z (fractional)
Mg 0.0000 0.0000 0.1615
Mg 0.0000 0.0000 0.8385
Mg 0.3333 0.6667 0.0549
Mg 0.3333 0.6667 0.3975
Mg 0.6667 0.3333 0.6025
Mg 0.6667 0.3333 0.9451
Cd 0.0000 0.0000 0.5000
Pb 0.3333 0.6667 0.7290
Pb 0.6667 0.3333 0.2710

Most intense lines, 2θ from 5° to 70°, in order of falling intensity:
22.2°, rel. 100
34.4°, rel. 81
35.3°, rel. 74
27.3°, rel. 46
62.8°, rel. 28
50.1°, rel. 28
9.1°, rel. 21
42.1°, rel. 20
56.0°, rel. 18
52.1°, rel. 17
18.3°, rel. 16
40.0°, rel. 14

---

[3]
# Ti2P3O12
Simulated powder X-ray diffraction pattern, Cu Kα, 1.54184 Å. Input: DFT lattice parameters and positions (PBE).

Cell and atoms:
a = 8.9151 Å, b = 8.9151 Å, c = 8.9151 Å
α = 58.01°, β = 58.01°, γ = 58.01°
Element x y z (fractional)
Ti 0.1412 0.1412 0.1412
Ti 0.3588 0.3588 0.3588
Ti 0.6412 0.6412 0.6412
Ti 0.8588 0.8588 0.8588
P 0.0313 0.7500 0.4687
P 0.2500 0.5313 0.9687
P 0.4687 0.0313 0.7500
P 0.5313 0.9687 0.2500
P 0.7500 0.4687 0.0313
P 0.9687 0.2500 0.5313
O 0.0031 0.7739 0.6414
O 0.0615 0.9250 0.2920
O 0.0750 0.7080 0.9385
O 0.1414 0.2739 0.5031
O 0.2080 0.5750 0.4385
O 0.2261 0.3586 0.9969
O 0.2739 0.5031 0.1414
O 0.2920 0.0615 0.9250
O 0.3586 0.9969 0.2261
O 0.4250 0.5615 0.7920
O 0.4385 0.2080 0.5750
O 0.4969 0.8586 0.7261
O 0.5031 0.1414 0.2739
O 0.5615 0.7920 0.4250
O 0.5750 0.4385 0.2080
O 0.6414 0.0031 0.7739
O 0.7080 0.9385 0.0750
O 0.7261 0.4969 0.8586
O 0.7739 0.6414 0.0031
O 0.7920 0.4250 0.5615
O 0.8586 0.7261 0.4969
O 0.9250 0.2920 0.0615
O 0.9385 0.0750 0.7080
O 0.9969 0.2261 0.3586

Most intense lines, 2θ from 5° to 70°, in order of falling intensity:
23.9°, rel. 100
14.3°, rel. 46
19.9°, rel. 44
31.9°, rel. 41
28.8°, rel. 40
20.5°, rel. 18
52.4°, rel. 11
56.3°, rel. 10
45.8°, rel. 9
36.0°, rel. 9
48.8°, rel. 9
61.2°, rel. 8

---

[4]
# Pm7Nd16Er6
Simulated powder X-ray diffraction pattern, Cu Kα, 1.54184 Å. Input: DFT lattice parameters and positions (PBE).

Cell and atoms:
a = 11.3755 Å, b = 11.3755 Å, c = 11.3755 Å
α = 60.00°, β = 60.00°, γ = 60.00°
Element x y z (fractional)
Pm 0.0000 0.0000 0.0000
Pm 0.0000 0.0000 0.5000
Pm 0.0000 0.5000 0.0000
Pm 0.0000 0.5000 0.5000
Pm 0.5000 0.0000 0.0000
Pm 0.5000 0.0000 0.5000
Pm 0.5000 0.5000 0.0000
Nd 0.0493 0.6502 0.6502
Nd 0.1253 0.1253 0.1253
Nd 0.1253 0.1253 0.6242
Nd 0.1253 0.6242 0.1253
Nd 0.3498 0.3498 0.3498
Nd 0.3498 0.3498 0.9507
Nd 0.3498 0.9507 0.3498
Nd 0.3758 0.8747 0.8747
Nd 0.6242 0.1253 0.1253
Nd 0.6502 0.0493 0.6502
Nd 0.6502 0.6502 0.0493
Nd 0.6502 0.6502 0.6502
Nd 0.8747 0.3758 0.8747
Nd 0.8747 0.8747 0.3758
Nd 0.8747 0.8747 0.8747
Nd 0.9507 0.3498 0.3498
Er 0.2632 0.2632 0.7368
Er 0.2632 0.7368 0.2632
Er 0.2632 0.7368 0.7368
Er 0.7368 0.2632 0.2632
Er 0.7368 0.2632 0.7368
Er 0.7368 0.7368 0.2632

Most intense lines, 2θ from 5° to 70°, in order of falling intensity:
31.5°, rel. 100
56.0°, rel. 28
45.1°, rel. 15
28.8°, rel. 9
65.7°, rel. 8
27.2°, rel. 6
32.9°, rel. 5
24.7°, rel. 5
35.3°, rel. 5
43.2°, rel. 5
59.4°, rel. 5
15.6°, rel. 5